Record 1
Starting from a structure optimized by DFT (PBE), the XRD peak list of KRb2SiF7 was computed for CuKα.
Kinematic intensities with the Lorentz-polarization factor, no thermal factor.

Structural model:
Lattice parameters (Å, degrees): 7.9799 7.9799 5.8146 90.00 90.00 90.51
Fractional positions:
K: 0.1950 0.1950 0.0000
K: 0.8050 0.8050 0.0000
Rb: 0.0000 0.5000 0.5000
Rb: 0.3061 0.6939 0.0000
Rb: 0.5000 0.0000 0.5000
Rb: 0.6939 0.3061 0.0000
Si: 0.0000 0.0000 0.5000
Si: 0.5000 0.5000 0.5000
F: 0.0000 0.5000 0.0000
F: 0.1063 0.8937 0.2883
F: 0.1063 0.8937 0.7117
F: 0.1529 0.1529 0.5000
F: 0.3484 0.6516 0.5000
F: 0.3919 0.3919 0.2888
F: 0.3919 0.3919 0.7112
F: 0.5000 0.0000 0.0000
F: 0.6081 0.6081 0.2888
F: 0.6081 0.6081 0.7112
F: 0.6516 0.3484 0.5000
F: 0.8471 0.8471 0.5000
F: 0.8937 0.1063 0.2883
F: 0.8937 0.1063 0.7117

Top 8 peaks for 2θ = 15–90°, by intensity:
- 2θ 27.11, I 100
- 2θ 30.75, I 29
- 2θ 31.86, I 27
- 2θ 39.94, I 26
- 2θ 35.68, I 24
- 2θ 31.57, I 20
- 2θ 44.87, I 19
- 2θ 40.06, I 19

=====

Record 2
Starting from a structure optimized by DFT (PBE), the XRD peak list of Ba3Pa was computed for CuKα.
Kinematic intensities with the Lorentz-polarization factor, no thermal factor.

Structural model:
Lattice parameters (Å, degrees): 7.0789 7.0789 7.0789 131.92 131.92 70.36
Fractional positions:
Ba: 0.0000 0.0000 0.0000
Ba: 0.2500 0.7500 0.5000
Ba: 0.7500 0.2500 0.5000
Pa: 0.5000 0.5000 0.0000

Top 8 peaks for 2θ = 15–90°, by intensity:
- 2θ 26.74, I 100
- 2θ 30.98, I 52
- 2θ 44.38, I 38
- 2θ 52.61, I 31
- 2θ 52.48, I 16
- 2θ 55.10, I 14
- 2θ 71.15, I 13
- 2θ 73.39, I 12

=====

Record 3
Starting from a structure optimized by DFT (PBE), the XRD peak list of ZrH5S3O14 was computed for CuKα.
Kinematic intensities with the Lorentz-polarization factor, no thermal factor.

Structural model:
Lattice parameters (Å, degrees): 5.1861 9.0131 12.7367 87.13 89.71 85.76
Fractional positions:
Zr: 0.2131 0.3939 0.1793
Zr: 0.7869 0.6061 0.8207
H: 0.0969 0.0729 0.8058
H: 0.2656 0.6691 0.5184
H: 0.2872 0.0345 0.9020
H: 0.3914 0.7611 0.4173
H: 0.4038 0.8250 0.5375
H: 0.5962 0.1750 0.4625
H: 0.6086 0.2389 0.5827
H: 0.7128 0.9655 0.0980
H: 0.7344 0.3309 0.4816
H: 0.9031 0.9271 0.1942
S: 0.2476 0.1196 0.3028
S: 0.2831 0.7003 0.9964
S: 0.3018 0.4447 0.6794
S: 0.6982 0.5553 0.3206
S: 0.7169 0.2997 0.0036
S: 0.7524 0.8804 0.6972
O: 0.0615 0.4512 0.7447
O: 0.0737 0.2630 0.3155
O: 0.0925 0.6624 0.9147
O: 0.0996 0.9913 0.2919
O: 0.1916 0.1179 0.8629
O: 0.2284 0.6144 0.0949
O: 0.2485 0.5038 0.5718
O: 0.2672 0.8596 0.0116
O: 0.2931 0.7719 0.4858
O: 0.3828 0.1644 0.1999
O: 0.4171 0.2911 0.6810
O: 0.4345 0.0950 0.3887
O: 0.4535 0.3513 0.0409
O: 0.4850 0.5435 0.7310
O: 0.5150 0.4565 0.2690
O: 0.5465 0.6487 0.9591
O: 0.5655 0.9050 0.6113
O: 0.5829 0.7089 0.3190
O: 0.6172 0.8356 0.8001
O: 0.7069 0.2281 0.5142
O: 0.7328 0.1404 0.9884
O: 0.7515 0.4962 0.4282
O: 0.7716 0.3856 0.9051
O: 0.8084 0.8821 0.1371
O: 0.9004 0.0087 0.7081
O: 0.9075 0.3376 0.0853
O: 0.9263 0.7370 0.6845
O: 0.9385 0.5488 0.2553

Top 8 peaks for 2θ = 15–90°, by intensity:
- 2θ 23.45, I 100
- 2θ 24.55, I 78
- 2θ 24.84, I 54
- 2θ 18.52, I 32
- 2θ 34.64, I 20
- 2θ 22.14, I 17
- 2θ 33.73, I 16
- 2θ 45.44, I 14

=====

Record 4
Starting from a structure optimized by DFT (PBE), the XRD peak list of PrEuCuS3 was computed for CuKα.
Kinematic intensities with the Lorentz-polarization factor, no thermal factor.

Structural model:
Lattice parameters (Å, degrees): 11.1285 4.0721 11.5027 90.00 90.00 90.00
Fractional positions:
Pr: 0.0119 0.2500 0.1834
Pr: 0.4881 0.7500 0.6834
Pr: 0.5119 0.2500 0.3166
Pr: 0.9881 0.7500 0.8166
Eu: 0.1825 0.2500 0.5054
Eu: 0.3175 0.7500 0.0054
Eu: 0.6825 0.2500 0.9946
Eu: 0.8175 0.7500 0.4946
Cu: 0.2444 0.7500 0.2862
Cu: 0.2556 0.2500 0.7862
Cu: 0.7444 0.7500 0.2138
Cu: 0.7556 0.2500 0.7138
S: 0.0501 0.7500 0.3628
S: 0.1164 0.2500 0.9430
S: 0.2222 0.7500 0.6919
S: 0.2778 0.2500 0.1919
S: 0.3836 0.7500 0.4430
S: 0.4499 0.2500 0.8628
S: 0.5501 0.7500 0.1372
S: 0.6164 0.2500 0.5570
S: 0.7222 0.7500 0.8081
S: 0.7778 0.2500 0.3081
S: 0.8836 0.7500 0.0570
S: 0.9499 0.2500 0.6372

Top 8 peaks for 2θ = 15–90°, by intensity:
- 2θ 33.09, I 100
- 2θ 24.55, I 71
- 2θ 28.24, I 66
- 2θ 25.23, I 61
- 2θ 31.35, I 45
- 2θ 44.50, I 45
- 2θ 28.02, I 45
- 2θ 39.20, I 39

=====

Record 5
Starting from a structure optimized by DFT (PBE), the XRD peak list of MgAlNF6 was computed for CuKα.
Kinematic intensities with the Lorentz-polarization factor, no thermal factor.

Structural model:
Lattice parameters (Å, degrees): 7.1673 7.1673 7.1673 121.43 108.68 99.11
Fractional positions:
Mg: 0.0000 0.0000 0.0000
Mg: 0.5000 0.0000 0.5000
Al: 0.5000 0.0000 0.0000
Al: 0.5000 0.5000 0.5000
N: 0.0405 0.2905 0.7500
N: 0.9595 0.7095 0.2500
F: 0.1082 0.8582 0.2500
F: 0.2136 0.3117 0.2886
F: 0.2136 0.9250 0.9019
F: 0.4378 0.6878 0.7500
F: 0.4769 0.0750 0.7886
F: 0.4769 0.6883 0.4019
F: 0.5231 0.3117 0.5981
F: 0.5231 0.9250 0.2114
F: 0.5622 0.3122 0.2500
F: 0.7864 0.0750 0.0981
F: 0.7864 0.6883 0.7114
F: 0.8918 0.1418 0.7500

Top 8 peaks for 2θ = 15–90°, by intensity:
- 2θ 15.83, I 100
- 2θ 28.72, I 72
- 2θ 29.25, I 70
- 2θ 43.69, I 25
- 2θ 26.62, I 24
- 2θ 52.03, I 24
- 2θ 39.85, I 23
- 2θ 44.73, I 21

=====

Record 6
Starting from a structure optimized by DFT (PBE), the XRD peak list of SrCaAl2Si2N6 was computed for CuKα.
Kinematic intensities with the Lorentz-polarization factor, no thermal factor.

Structural model:
Lattice parameters (Å, degrees): 5.1450 5.7308 5.7499 119.89 90.13 90.14
Fractional positions:
Sr: 0.0000 0.0000 0.0000
Ca: 0.4968 0.6248 0.6176
Al: 0.0240 0.3034 0.6473
Al: 0.5261 0.3434 0.9888
Si: 0.0188 0.6545 0.2982
Si: 0.5216 0.9904 0.3417
N: 0.3581 0.6792 0.2377
N: 0.3824 0.2282 0.6476
N: 0.4990 0.0764 0.0901
N: 0.8555 0.9661 0.4178
N: 0.8794 0.4343 0.9876
N: 0.9909 0.5540 0.5339

Top 8 peaks for 2θ = 15–90°, by intensity:
- 2θ 35.85, I 100
- 2θ 34.88, I 60
- 2θ 31.11, I 55
- 2θ 35.72, I 49
- 2θ 36.16, I 30
- 2θ 55.48, I 25
- 2θ 31.21, I 24
- 2θ 24.87, I 22